The following is a calculated powder X-ray diffraction pattern of Na3Tl4Ga. It was derived from the PBE geometry in Alexandria, using CuKα.

Largest 10 diffraction maxima, sorted by position, 2θ from 10° to 90°:
22.3°, I 41
24.0°, I 37
24.2°, I 36
32.9°, I 34
33.1°, I 100
34.3°, I 63
41.2°, I 17
41.4°, I 17
45.5°, I 12
60.7°, I 24

Crystal structure
```
Na3Tl4Ga
1.0
3.704 -3.683 0.000
3.704 3.683 0.000
-3.648 0.000 7.979
Na Tl Ga
3 4 1
direct
0.000 0.000 0.000 Na
0.252 0.252 0.504 Na
0.748 0.748 0.496 Na
0.116 0.616 0.233 Tl
0.384 0.884 0.767 Tl
0.616 0.116 0.233 Tl
0.884 0.384 0.767 Tl
0.500 0.500 0.000 Ga
```



The following is a calculated powder X-ray diffraction pattern of Ga2TePtS6. It was derived from the PBE geometry in Alexandria, using CuKα.

Largest 10 diffraction maxima, sorted by position, 2θ from 10° to 90°:
11.1°, I 36
15.1°, I 49
23.4°, I 100
24.1°, I 35
28.1°, I 43
28.2°, I 43
29.2°, I 61
43.5°, I 36
43.9°, I 27
52.6°, I 31

Crystal structure
```
Ga2TePtS6
1.0
6.281 -5.425 0.000
6.281 5.425 0.000
-2.377 0.000 6.320
Ga Te Pt S
4 2 2 12
direct
0.115 0.304 0.258 Ga
0.304 0.115 0.758 Ga
0.696 0.885 0.242 Ga
0.885 0.696 0.742 Ga
0.189 0.811 0.250 Te
0.811 0.189 0.750 Te
0.410 0.590 0.750 Pt
0.590 0.410 0.250 Pt
0.093 0.144 0.471 S
0.144 0.093 0.971 S
0.150 0.579 0.863 S
0.317 0.496 0.370 S
0.421 0.850 0.637 S
0.496 0.317 0.870 S
0.504 0.683 0.130 S
0.579 0.150 0.363 S
0.683 0.504 0.630 S
0.850 0.421 0.137 S
0.856 0.907 0.029 S
0.907 0.856 0.529 S
```



The following is a calculated powder X-ray diffraction pattern of MgMn3Cl9. It was derived from the PBE geometry in Alexandria, using CuKα.

Largest 10 diffraction maxima, sorted by position, 2θ from 10° to 90°:
16.8°, I 100
17.1°, I 18
19.1°, I 55
20.6°, I 28
21.7°, I 25
24.7°, I 15
26.2°, I 21
33.0°, I 18
35.3°, I 15
36.6°, I 15

Crystal structure
```
MgMn3Cl9
1.0
9.352 -4.099 0.000
9.352 4.099 0.000
-7.490 0.000 10.387
Mg Mn Cl
2 6 18
direct
0.232 0.768 0.500 Mg
0.768 0.232 0.000 Mg
0.015 0.242 0.820 Mn
0.242 0.015 0.320 Mn
0.278 0.479 0.688 Mn
0.479 0.278 0.188 Mn
0.718 0.775 0.243 Mn
0.775 0.718 0.743 Mn
0.096 0.121 0.142 Cl
0.121 0.096 0.642 Cl
0.138 0.872 0.317 Cl
0.227 0.315 0.002 Cl
0.315 0.227 0.502 Cl
0.322 0.671 0.685 Cl
0.365 0.436 0.363 Cl
0.436 0.365 0.863 Cl
0.547 0.720 0.561 Cl
0.561 0.778 0.321 Cl
0.662 0.949 0.147 Cl
0.671 0.322 0.185 Cl
0.720 0.547 0.061 Cl
0.778 0.561 0.821 Cl
0.836 0.908 0.935 Cl
0.872 0.138 0.817 Cl
0.908 0.836 0.435 Cl
0.949 0.662 0.647 Cl
```



Repeat the second record exactly.
The following is a calculated powder X-ray diffraction pattern of Ga2TePtS6. It was derived from the PBE geometry in Alexandria, using CuKα.

Largest 10 diffraction maxima, sorted by position, 2θ from 10° to 90°:
11.1°, I 36
15.1°, I 49
23.4°, I 100
24.1°, I 35
28.1°, I 43
28.2°, I 43
29.2°, I 61
43.5°, I 36
43.9°, I 27
52.6°, I 31

Crystal structure
```
Ga2TePtS6
1.0
6.281 -5.425 0.000
6.281 5.425 0.000
-2.377 0.000 6.320
Ga Te Pt S
4 2 2 12
direct
0.115 0.304 0.258 Ga
0.304 0.115 0.758 Ga
0.696 0.885 0.242 Ga
0.885 0.696 0.742 Ga
0.189 0.811 0.250 Te
0.811 0.189 0.750 Te
0.410 0.590 0.750 Pt
0.590 0.410 0.250 Pt
0.093 0.144 0.471 S
0.144 0.093 0.971 S
0.150 0.579 0.863 S
0.317 0.496 0.370 S
0.421 0.850 0.637 S
0.496 0.317 0.870 S
0.504 0.683 0.130 S
0.579 0.150 0.363 S
0.683 0.504 0.630 S
0.850 0.421 0.137 S
0.856 0.907 0.029 S
0.907 0.856 0.529 S
```